For BaLu2In, DFT lattice parameters and positions (GGA-PBE) gives the theoretical powder diffraction line list in this record (CuKα).
Peak positions follow from Bragg's law for the DFT cell and can differ from measured ones.

```
12
Lattice="3.5911 0.0000 0.0000 -1.7956 3.1100 0.0000 0.0000 0.0000 35.9722" Properties=species:S:1:pos:R:3 pbc="T T T"
Ba 0.0000 0.0000 0.0000
Ba 0.0000 2.0733 23.9815
Ba 1.7956 1.0367 11.9907
Lu 0.0000 0.0000 3.6023
Lu 0.0000 0.0000 32.3700
Lu 0.0000 2.0733 20.3792
Lu 0.0000 2.0733 27.5838
Lu 1.7956 1.0367 8.3885
Lu 1.7956 1.0367 15.5930
In 0.0000 0.0000 17.9861
In 0.0000 2.0733 5.9954
In 1.7956 1.0367 29.9769
```

Principal peaks in the range 2θ = 10–90°, by angle:
2θ (°), Rel. int.
22.2, 332
28.8, 520
29.1, 739
29.8, 229
31.3, 531
35.1, 459
38.3, 1000
40.0, 214
50.9, 440
59.4, 277
65.4, 207
87.3, 195

=====

For BaMgIn11, DFT lattice parameters and positions (GGA-PBE) gives the theoretical powder diffraction line list in this record (CuKα).
Peak positions follow from Bragg's law for the DFT cell and can differ from measured ones.

```
13
Lattice="3.2115 -7.5806 0.0000 3.2115 7.5806 0.0000 -2.9655 0.0000 7.5611" Properties=species:S:1:pos:R:3 pbc="T T T"
Ba 0.0000 0.0000 0.0000
Mg 1.7288 0.0000 3.7805
In -1.4827 0.0000 3.7805
In 1.6058 3.7903 0.0000
In 0.1285 2.6658 2.7236
In 0.2376 1.6294 5.9098
In 0.1285 -2.6658 2.7236
In 3.2199 1.6294 1.6513
In 1.6058 -3.7903 0.0000
In 0.2376 -1.6294 5.9098
In 3.3290 2.6658 4.8375
In 3.2199 -1.6294 1.6513
In 3.3290 -2.6658 4.8375
```

Principal peaks in the range 2θ = 10–90°, by angle:
2θ (°), Rel. int.
27.8, 356
28.9, 441
32.2, 550
32.9, 1000
33.1, 492
33.3, 269
33.5, 789
33.7, 276
36.7, 462
37.6, 508
57.4, 246
59.8, 303

=====

For Ba5Mg4In4, DFT lattice parameters and positions (GGA-PBE) gives the theoretical powder diffraction line list in this record (CuKα).
Peak positions follow from Bragg's law for the DFT cell and can differ from measured ones.

```
13
Lattice="-6.7490 6.7490 2.5486 6.7490 -6.7490 2.5486 6.7490 6.7490 -2.5486" Properties=species:S:1:pos:R:3 pbc="T T T"
Ba 0.0000 0.0000 0.0000
Ba 8.6430 3.9616 0.0000
Ba 3.9616 4.8549 0.0000
Ba 2.7874 1.8941 2.5486
Ba -1.8941 2.7874 2.5486
Mg 5.8994 1.3839 0.0000
Mg 5.3650 -0.8496 2.5486
Mg 1.3839 7.5986 0.0000
Mg 0.8496 5.3650 2.5486
In 9.8453 0.6145 0.0000
In 0.6145 3.6527 0.0000
In 6.1345 3.0963 2.5486
In -3.0963 6.1345 2.5486
```

Principal peaks in the range 2θ = 10–90°, by angle:
2θ (°), Rel. int.
22.8, 296
26.4, 1000
28.0, 253
29.6, 764
32.5, 319
33.9, 239
35.2, 291
46.6, 282
49.7, 159
56.2, 272
58.0, 261
82.0, 159

=====

For Ba6Mg15In8, DFT lattice parameters and positions (GGA-PBE) gives the theoretical powder diffraction line list in this record (CuKα).
Peak positions follow from Bragg's law for the DFT cell and can differ from measured ones.

```
29
Lattice="0.0000 7.6133 7.6133 7.6133 0.0000 7.6133 7.6133 7.6133 0.0000" Properties=species:S:1:pos:R:3 pbc="T T T"
Ba 7.6133 7.6133 3.3949
Ba 7.6133 3.3949 7.6133
Ba 11.8317 7.6133 7.6133
Ba 3.3949 7.6133 7.6133
Ba 7.6133 11.8317 7.6133
Ba 7.6133 7.6133 11.8317
Mg 3.8066 3.8066 0.0000
Mg 3.8066 0.0000 3.8066
Mg 7.6133 3.8066 3.8066
Mg 2.6708 2.6708 2.6708
Mg 4.9425 4.9425 2.6708
Mg 4.9425 2.6708 4.9425
Mg 2.6708 4.9425 4.9425
Mg 0.0000 3.8066 3.8066
Mg 3.8066 7.6133 3.8066
Mg 3.8066 3.8066 7.6133
Mg 7.6133 7.6133 7.6133
Mg 12.5558 10.2841 10.2841
Mg 10.2841 12.5558 10.2841
Mg 10.2841 10.2841 12.5558
Mg 12.5558 12.5558 12.5558
In 9.5839 5.6427 5.6427
In 5.6427 5.6427 5.6427
In 9.5839 9.5839 5.6427
In 9.5839 5.6427 9.5839
In 5.6427 9.5839 5.6427
In 5.6427 5.6427 9.5839
In 9.5839 9.5839 9.5839
In 5.6427 9.5839 9.5839
```

Principal peaks in the range 2θ = 10–90°, by angle:
2θ (°), Rel. int.
19.3, 126
20.2, 262
25.5, 336
30.5, 252
33.3, 1000
42.4, 109
47.8, 125
49.0, 186
59.5, 263
60.5, 115
70.8, 120
85.3, 135

=====

For Ba2MgIn3, DFT lattice parameters and positions (GGA-PBE) gives the theoretical powder diffraction line list in this record (CuKα).
Peak positions follow from Bragg's law for the DFT cell and can differ from measured ones.

```
12
Lattice="12.3438 0.0000 0.0000 0.0000 5.2730 0.0000 -6.0388 0.0000 6.1828" Properties=species:S:1:pos:R:3 pbc="T T T"
Ba 0.0000 0.0000 0.0000
Ba -2.4222 0.0000 3.7026
Ba 6.1719 2.6365 0.0000
Ba 3.7497 2.6365 3.7026
Mg 3.4724 0.0000 1.2654
Mg 9.6443 2.6365 1.2654
In 0.1782 2.6365 2.4396
In 2.4849 2.6365 0.1460
In 1.3181 0.0000 3.5647
In 6.3501 0.0000 2.4396
In 8.6568 0.0000 0.1460
In 7.4900 2.6365 3.5647
```

Principal peaks in the range 2θ = 10–90°, by angle:
2θ (°), Rel. int.
14.4, 140
28.3, 555
28.6, 1000
28.9, 355
32.7, 313
34.0, 402
34.9, 525
45.2, 205
47.9, 210
55.2, 119
55.3, 143
57.6, 135

=====

For Ba4MgIn, DFT lattice parameters and positions (GGA-PBE) gives the theoretical powder diffraction line list in this record (CuKα).
Peak positions follow from Bragg's law for the DFT cell and can differ from measured ones.

```
6
Lattice="4.3508 0.0000 0.0000 0.0000 4.3508 0.0000 0.0000 0.0000 15.3769" Properties=species:S:1:pos:R:3 pbc="T T T"
Ba 0.0000 0.0000 2.0128
Ba 0.0000 0.0000 13.3641
Ba 2.1754 2.1754 5.5683
Ba 2.1754 2.1754 9.8085
Mg 0.0000 0.0000 7.6884
In 2.1754 2.1754 0.0000
```

Principal peaks in the range 2θ = 10–90°, by angle:
2θ (°), Rel. int.
21.2, 229
23.1, 147
26.9, 1000
29.0, 560
35.8, 216
37.4, 169
41.5, 211
50.1, 352
55.9, 116
56.4, 137
68.2, 101
85.5, 99

=====

For Ba2Mg16In, DFT lattice parameters and positions (GGA-PBE) gives the theoretical powder diffraction line list in this record (CuKα).
Peak positions follow from Bragg's law for the DFT cell and can differ from measured ones.

```
19
Lattice="5.3052 3.0630 5.1782 -5.3052 3.0630 5.1782 0.0000 -6.1260 5.1782" Properties=species:S:1:pos:R:3 pbc="T T T"
Ba 0.0000 0.0000 0.0000
Ba 0.0000 0.0000 5.0993
Mg 0.0000 -3.0226 2.7374
Mg -2.6176 1.5113 2.7374
Mg -2.6466 -1.5280 7.7257
Mg 0.0000 -3.0636 7.5173
Mg -2.6532 1.5318 7.5173
Mg -1.5613 -2.7036 10.3102
Mg -3.1220 -0.0004 10.3102
Mg 2.6176 1.5113 2.7374
Mg 0.0000 0.0000 8.8646
Mg 2.6466 -1.5280 7.7257
Mg 1.5613 -2.7036 10.3101
Mg 0.0000 3.0560 7.7257
Mg -1.5607 2.7039 10.3101
Mg 2.6532 1.5318 7.5173
Mg 3.1220 -0.0004 10.3101
Mg 1.5607 2.7039 10.3101
In 0.0000 0.0000 11.8841
```

Principal peaks in the range 2θ = 10–90°, by angle:
2θ (°), Rel. int.
16.7, 968
24.0, 750
24.9, 312
29.2, 842
30.1, 425
33.8, 896
34.0, 1000
34.6, 608
34.9, 307
48.7, 398
49.2, 340
61.7, 305

=====

For Ba2Mg3InPb4, DFT lattice parameters and positions (GGA-PBE) gives the theoretical powder diffraction line list in this record (CuKα).
Peak positions follow from Bragg's law for the DFT cell and can differ from measured ones.

```
10
Lattice="5.1084 0.0000 0.0000 0.0000 5.1084 0.0000 0.0000 0.0000 12.2670" Properties=species:S:1:pos:R:3 pbc="T T T"
Ba 0.0000 2.5542 3.0387
Ba 2.5542 0.0000 9.2284
Mg 0.0000 2.5542 10.7073
Mg 2.5542 0.0000 1.5597
Mg 2.5542 2.5542 6.1335
In 0.0000 0.0000 6.1335
Pb 0.0000 0.0000 0.0000
Pb 0.0000 2.5542 7.8305
Pb 2.5542 0.0000 4.4366
Pb 2.5542 2.5542 0.0000
```

Principal peaks in the range 2θ = 10–90°, by angle:
2θ (°), Rel. int.
21.7, 196
22.7, 305
25.7, 394
27.9, 362
28.7, 1000
35.1, 613
38.5, 313
40.8, 237
45.5, 193
50.5, 220
54.9, 200
59.1, 263

=====

For BaMg4In2Pd, DFT lattice parameters and positions (GGA-PBE) gives the theoretical powder diffraction line list in this record (CuKα).
Peak positions follow from Bragg's law for the DFT cell and can differ from measured ones.

```
8
Lattice="2.4435 1.4107 10.0447 -2.4435 1.4107 10.0447 0.0000 -2.8215 10.0447" Properties=species:S:1:pos:R:3 pbc="T T T"
Ba 0.0000 0.0000 0.0000
Mg 0.0000 0.0000 4.2472
Mg 0.0000 0.0000 12.4689
Mg 0.0000 0.0000 17.6651
Mg 0.0000 0.0000 25.8868
In 0.0000 0.0000 7.4234
In 0.0000 0.0000 22.7107
Pd 0.0000 0.0000 15.0670
```

Principal peaks in the range 2θ = 10–90°, by angle:
2θ (°), Rel. int.
24.1, 1000
31.8, 747
35.8, 189
36.8, 706
44.5, 201
49.4, 212
52.2, 373
53.2, 126
59.0, 168
63.1, 200
66.2, 121
77.6, 114

=====

For Ba2MgZn4In3, DFT lattice parameters and positions (GGA-PBE) gives the theoretical powder diffraction line list in this record (CuKα).
Peak positions follow from Bragg's law for the DFT cell and can differ from measured ones.

```
10
Lattice="4.7177 0.0000 0.0000 0.0000 4.7177 0.0000 0.0000 0.0000 11.8089" Properties=species:S:1:pos:R:3 pbc="T T T"
Ba 0.0000 2.3588 2.8678
Ba 2.3588 0.0000 8.9411
Mg 0.0000 0.0000 5.9045
Zn 0.0000 0.0000 0.0000
Zn 0.0000 2.3588 7.4971
Zn 2.3588 0.0000 4.3118
Zn 2.3588 2.3588 0.0000
In 0.0000 2.3588 10.3052
In 2.3588 0.0000 1.5037
In 2.3588 2.3588 5.9045
```

Principal peaks in the range 2θ = 10–90°, by angle:
2θ (°), Rel. int.
26.7, 275
29.6, 874
30.8, 1000
38.2, 729
40.8, 224
42.8, 403
49.0, 420
54.1, 131
55.1, 244
58.7, 305
64.4, 230
76.1, 169

=====

For Ba2MgZn3In4, DFT lattice parameters and positions (GGA-PBE) gives the theoretical powder diffraction line list in this record (CuKα).
Peak positions follow from Bragg's law for the DFT cell and can differ from measured ones.

```
10
Lattice="4.7997 0.0000 0.0000 0.0000 4.7997 0.0000 0.0000 0.0000 11.8192" Properties=species:S:1:pos:R:3 pbc="T T T"
Ba 0.0000 2.3999 2.9226
Ba 2.3999 0.0000 8.8966
Mg 0.0000 0.0000 5.9096
Zn 0.0000 2.3999 10.2528
Zn 2.3999 0.0000 1.5664
Zn 2.3999 2.3999 5.9096
In 0.0000 0.0000 0.0000
In 0.0000 2.3999 7.5048
In 2.3999 0.0000 4.3144
In 2.3999 2.3999 0.0000
```

Principal peaks in the range 2θ = 10–90°, by angle:
2θ (°), Rel. int.
26.3, 170
29.3, 628
30.4, 1000
37.5, 657
40.5, 214
42.6, 340
48.3, 309
54.0, 221
58.0, 267
63.3, 251
75.6, 147
87.4, 132

=====

For Ba2MnIn4, DFT lattice parameters and positions (GGA-PBE) gives the theoretical powder diffraction line list in this record (CuKα).
Peak positions follow from Bragg's law for the DFT cell and can differ from measured ones.

```
14
Lattice="5.1281 0.0000 0.0000 0.0000 5.1281 0.0000 0.0000 0.0000 17.8399" Properties=species:S:1:pos:R:3 pbc="T T T"
Ba 0.0000 0.0000 2.7325
Ba 0.0000 0.0000 15.1074
Ba 2.5640 2.5640 6.1875
Ba 2.5640 2.5640 11.6524
Mn 0.0000 0.0000 8.9199
Mn 2.5640 2.5640 0.0000
In 0.0000 0.0000 6.3577
In 0.0000 0.0000 11.4821
In 0.0000 2.5640 0.0000
In 0.0000 2.5640 8.9199
In 2.5640 0.0000 0.0000
In 2.5640 0.0000 8.9199
In 2.5640 2.5640 2.5622
In 2.5640 2.5640 15.2777
```

Principal peaks in the range 2θ = 10–90°, by angle:
2θ (°), Rel. int.
24.5, 289
26.5, 483
30.1, 381
31.8, 1000
35.0, 697
46.8, 437
50.3, 241
54.5, 133
57.6, 221
59.7, 207
60.8, 304
79.9, 172

=====

For BaMnIn2Se4, DFT lattice parameters and positions (GGA-PBE) gives the theoretical powder diffraction line list in this record (CuKα).
Peak positions follow from Bragg's law for the DFT cell and can differ from measured ones.

```
16
Lattice="2.1438 -7.1343 0.0000 2.1438 7.1343 0.0000 0.0000 0.0000 14.8637" Properties=species:S:1:pos:R:3 pbc="T T T"
Ba 2.1438 5.4258 11.1478
Ba 2.1438 -5.4258 3.7159
Mn 2.1438 4.9414 3.7159
Mn 2.1438 -4.9414 11.1478
In 2.1438 1.7706 8.1788
In 2.1438 1.7706 14.1167
In 2.1438 -1.7706 0.7470
In 2.1438 -1.7706 6.6849
Se 0.0000 0.0000 0.0000
Se 0.0000 0.0000 7.4318
Se 2.1438 3.4111 1.7551
Se 2.1438 3.4111 5.6767
Se 2.1438 0.8299 11.1478
Se 2.1438 -0.8299 3.7159
Se 2.1438 -3.4111 9.1870
Se 2.1438 -3.4111 13.1086
```

Principal peaks in the range 2θ = 10–90°, by angle:
2θ (°), Rel. int.
21.8, 294
23.9, 211
27.1, 368
28.7, 785
30.5, 1000
34.9, 217
37.3, 398
39.8, 284
41.6, 168
42.2, 848
55.8, 169
68.4, 197